For AlCuSe2, a GGA-PBE-relaxed structure gives the simulated powder X-ray diffraction pattern in this record (Cu Kα X-rays).
Peak positions follow from Bragg's law for the DFT cell and can differ from measured ones.

Structure:
```
data_AlCuSe2
_chemical_formula_sum 'Al4 Cu4 Se8'
_cell_length_a 5.6427
_cell_length_b 5.6427
_cell_length_c 11.1428
_cell_angle_alpha 90.00
_cell_angle_beta 90.00
_cell_angle_gamma 90.00
_space_group_name_H-M_alt 'I -4 2 d'
_space_group_IT_number 122
_space_group_name_Hall 'I -4 2bw'
loop_
_atom_site_label
_atom_site_fract_x
_atom_site_fract_y
_atom_site_fract_z
_atom_site_occupancy
Al1 0.0000 0.0000 0.0000 1
Cu1 0.0000 0.0000 0.5000 1
Se1 0.2482 0.7500 0.1250 1
```

Peak list (10 most intense, 2θ from 15° to 90°, sorted by position)
- 2θ = 17.62°, intensity 6
- 2θ = 27.50°, intensity 100
- 2θ = 45.46°, intensity 23
- 2θ = 45.77°, intensity 45
- 2θ = 53.96°, intensity 29
- 2θ = 54.50°, intensity 14
- 2θ = 66.25°, intensity 7
- 2θ = 73.62°, intensity 11
- 2θ = 84.25°, intensity 15
- 2θ = 84.91°, intensity 7


For LiC6, a GGA-PBE-relaxed structure gives the simulated powder X-ray diffraction pattern in this record (Cu Kα X-rays).
Peak positions follow from Bragg's law for the DFT cell and can differ from measured ones.

Structure:
```
data_LiC6
_chemical_formula_sum 'Li1 C6'
_cell_length_a 4.3233
_cell_length_b 4.3233
_cell_length_c 3.7454
_cell_angle_alpha 90.00
_cell_angle_beta 90.00
_cell_angle_gamma 120.00
_space_group_name_H-M_alt 'P 6/m m m'
_space_group_IT_number 191
_space_group_name_Hall '-P 6 2'
loop_
_atom_site_label
_atom_site_fract_x
_atom_site_fract_y
_atom_site_fract_z
_atom_site_occupancy
Li1 0.0000 0.0000 0.0000 1
C1 0.0000 0.3336 0.5000 1
```

Peak list (8 most intense, 2θ from 15° to 90°, sorted by position)
- 2θ = 23.76°, intensity 100
- 2θ = 33.85°, intensity 1
- 2θ = 41.79°, intensity 8
- 2θ = 48.63°, intensity 30
- 2θ = 54.82°, intensity 1
- 2θ = 66.00°, intensity 3
- 2θ = 76.29°, intensity 7
- 2θ = 81.25°, intensity 7


For Tb17Mg11Ni8, a GGA-PBE-relaxed structure gives the simulated powder X-ray diffraction pattern in this record (Cu Kα X-rays).
Peak positions follow from Bragg's law for the DFT cell and can differ from measured ones.

Structure:
```
data_Tb17Mg11Ni8
_chemical_formula_sum 'Tb17 Mg11 Ni8'
_cell_length_a 3.6440
_cell_length_b 10.9497
_cell_length_c 21.9046
_cell_angle_alpha 90.00
_cell_angle_beta 90.00
_cell_angle_gamma 90.00
_space_group_name_H-M_alt 'P m m m'
_space_group_IT_number 47
loop_
_space_group_symop_operation_xyz
'x,y,z'
'-x,-y,-z'
'-x,-y,z'
'x,y,-z'
'x,-y,-z'
'-x,y,z'
'-x,y,-z'
'x,-y,z'
loop_
_atom_site_label
_atom_site_fract_x
_atom_site_fract_y
_atom_site_fract_z
_atom_site_occupancy
Tb1 0.0000 0.0000 0.0000 1
Tb2 0.5000 0.0000 0.1356 1
Tb3 0.5000 0.0000 0.3667 1
Tb4 0.5000 0.2667 0.5000 1
Tb5 0.5000 0.2712 0.0000 1
Tb6 0.5000 0.3242 0.1621 1
Tb7 0.5000 0.3248 0.3379 1
Mg1 0.0000 0.0000 0.5000 1
Mg2 0.0000 0.1416 0.2502 1
Mg3 0.0000 0.5000 0.0708 1
Mg4 0.0000 0.5000 0.2501 1
Mg5 0.0000 0.5000 0.4292 1
Ni1 0.0000 0.1903 0.0953 1
Ni2 0.0000 0.1901 0.4048 1
```

Peak list (10 most intense, 2θ from 15° to 90°, sorted by position)
- 2θ = 16.19°, intensity 21
- 2θ = 24.40°, intensity 44
- 2θ = 29.42°, intensity 15
- 2θ = 33.77°, intensity 27
- 2θ = 34.78°, intensity 100
- 2θ = 38.59°, intensity 35
- 2θ = 50.02°, intensity 18
- 2θ = 59.08°, intensity 18
- 2θ = 62.37°, intensity 17
- 2θ = 72.20°, intensity 13


For NbHO3, a GGA-PBE-relaxed structure gives the simulated powder X-ray diffraction pattern in this record (Cu Kα X-rays).
Peak positions follow from Bragg's law for the DFT cell and can differ from measured ones.

Structure:
```
data_NbHO3
_chemical_formula_sum 'Nb4 H4 O12'
_cell_length_a 6.7451
_cell_length_b 6.7787
_cell_length_c 6.7804
_cell_angle_alpha 110.06
_cell_angle_beta 108.25
_cell_angle_gamma 109.81
_space_group_name_H-M_alt 'P 1'
_space_group_IT_number 1
loop_
_space_group_symop_operation_xyz
'x,y,z'
loop_
_atom_site_label
_atom_site_fract_x
_atom_site_fract_y
_atom_site_fract_z
_atom_site_occupancy
Nb1 0.0000 0.0000 0.0000 1
Nb2 0.0168 0.4891 0.5067 1
Nb3 0.5134 0.0227 0.4926 1
Nb4 0.5367 0.5067 0.0286 1
H1 0.0215 0.9012 0.5884 1
H2 0.1172 0.7015 0.0936 1
H3 0.4116 0.6018 0.4663 1
H4 0.9243 0.2932 0.8804 1
O1 0.0170 0.2132 0.2766 1
O2 0.0216 0.8122 0.6750 1
O3 0.2061 0.8774 0.1686 1
O4 0.2124 0.5055 0.7763 1
O5 0.3073 0.2821 0.0643 1
O6 0.3378 0.7028 0.4975 1
O7 0.4232 0.1970 0.6830 1
O8 0.5968 0.7920 0.2780 1
O9 0.7142 0.2876 0.4767 1
O10 0.7287 0.7166 0.8983 1
O11 0.8144 0.4993 0.1887 1
O12 0.8224 0.1169 0.7930 1
```

Peak list (10 most intense, 2θ from 15° to 90°, sorted by position)
- 2θ = 22.43°, intensity 51
- 2θ = 22.88°, intensity 100
- 2θ = 32.19°, intensity 23
- 2θ = 32.32°, intensity 23
- 2θ = 32.48°, intensity 10
- 2θ = 32.68°, intensity 12
- 2θ = 46.74°, intensity 18
- 2θ = 51.78°, intensity 9
- 2θ = 52.35°, intensity 10
- 2θ = 52.50°, intensity 14


For NpSbTe, a GGA-PBE-relaxed structure gives the simulated powder X-ray diffraction pattern in this record (Cu Kα X-rays).
Peak positions follow from Bragg's law for the DFT cell and can differ from measured ones.

Structure:
```
data_NpSbTe
_chemical_formula_sum 'Np2 Sb2 Te2'
_cell_length_a 4.3142
_cell_length_b 4.3142
_cell_length_c 9.0201
_cell_angle_alpha 90.00
_cell_angle_beta 90.00
_cell_angle_gamma 90.00
_space_group_name_H-M_alt 'P 4/n m m'
_space_group_IT_number 129
loop_
_space_group_symop_operation_xyz
'x,y,z'
'-x,-y,-z'
'-y+1/2,x,z'
'y+1/2,-x,-z'
'-x+1/2,-y+1/2,z'
'x+1/2,y+1/2,-z'
'y,-x+1/2,z'
'-y,x+1/2,-z'
'x+1/2,-y,-z'
'-x+1/2,y,z'
'-y,-x,-z'
'y,x,z'
'-x,y+1/2,-z'
'x,-y+1/2,z'
'y+1/2,x+1/2,-z'
'-y+1/2,-x+1/2,z'
loop_
_atom_site_label
_atom_site_fract_x
_atom_site_fract_y
_atom_site_fract_z
_atom_site_occupancy
Np1 0.2500 0.2500 0.2235 1
Sb1 0.2500 0.7500 0.5000 1
Te1 0.2500 0.2500 0.8659 1
```

Peak list (10 most intense, 2θ from 15° to 90°, sorted by position)
- 2θ = 22.85°, intensity 43
- 2θ = 29.28°, intensity 36
- 2θ = 29.71°, intensity 36
- 2θ = 30.94°, intensity 68
- 2θ = 35.53°, intensity 100
- 2θ = 36.42°, intensity 56
- 2θ = 41.88°, intensity 58
- 2θ = 52.19°, intensity 30
- 2θ = 56.69°, intensity 32
- 2θ = 72.37°, intensity 26


For NbPO5, a GGA-PBE-relaxed structure gives the simulated powder X-ray diffraction pattern in this record (Cu Kα X-rays).
Peak positions follow from Bragg's law for the DFT cell and can differ from measured ones.

Structure:
```
data_NbPO5
_chemical_formula_sum 'Nb4 P4 O20'
_cell_length_a 11.4726
_cell_length_b 6.8010
_cell_length_c 5.4251
_cell_angle_alpha 90.00
_cell_angle_beta 90.00
_cell_angle_gamma 90.00
_space_group_name_H-M_alt 'P n a 21'
_space_group_IT_number 33
loop_
_space_group_symop_operation_xyz
'x,y,z'
'-x,-y,z+1/2'
'-x+1/2,y+1/2,z+1/2'
'x+1/2,-y+1/2,z'
loop_
_atom_site_label
_atom_site_fract_x
_atom_site_fract_y
_atom_site_fract_z
_atom_site_occupancy
Nb1 0.0633 0.1690 0.0000 1
P1 0.1537 0.4720 0.4892 1
O1 0.0042 0.0118 0.2612 1
O2 0.0809 0.6631 0.4998 1
O3 0.1238 0.3385 0.7074 1
O4 0.1329 0.3691 0.2414 1
O5 0.2160 0.0301 0.0030 1
```

Peak list (10 most intense, 2θ from 15° to 90°, sorted by position)
- 2θ = 15.45°, intensity 49
- 2θ = 20.25°, intensity 84
- 2θ = 20.95°, intensity 100
- 2θ = 22.35°, intensity 89
- 2θ = 26.13°, intensity 56
- 2θ = 26.74°, intensity 31
- 2θ = 32.03°, intensity 39
- 2θ = 35.37°, intensity 34
- 2θ = 49.68°, intensity 26
- 2θ = 53.26°, intensity 24


For MgTi2O4, a GGA-PBE-relaxed structure gives the simulated powder X-ray diffraction pattern in this record (Cu Kα X-rays).
Peak positions follow from Bragg's law for the DFT cell and can differ from measured ones.

Structure:
```
data_MgTi2O4
_chemical_formula_sum 'Mg6 Ti12 O24'
_cell_length_a 6.0112
_cell_length_b 6.0112
_cell_length_c 14.9310
_cell_angle_alpha 90.00
_cell_angle_beta 90.00
_cell_angle_gamma 120.00
_space_group_name_H-M_alt 'P 3 m 1'
_space_group_IT_number 156
loop_
_space_group_symop_operation_xyz
'x,y,z'
'-y,x-y,z'
'-x+y,-x,z'
'-y,-x,z'
'-x+y,y,z'
'x,x-y,z'
loop_
_atom_site_label
_atom_site_fract_x
_atom_site_fract_y
_atom_site_fract_z
_atom_site_occupancy
Mg1 0.0000 0.0000 0.0000 1
Mg2 0.0000 0.0000 0.2470 1
Mg3 0.3333 0.6667 0.3263 1
Mg4 0.3333 0.6667 0.5806 1
Mg5 0.3333 0.6667 0.9583 1
Mg6 0.6667 0.3333 0.6598 1
Ti1 0.0000 0.0000 0.6204 1
Ti2 0.1617 0.3235 0.7854 1
Ti3 0.3341 0.1670 0.4546 1
Ti4 0.5049 0.0099 0.1217 1
Ti5 0.6667 0.3333 0.2952 1
Ti6 0.6667 0.3333 0.9078 1
O1 0.0000 0.0000 0.3799 1
O2 0.0000 0.0000 0.8656 1
O3 0.0137 0.5068 0.8684 1
O4 0.1554 0.3108 0.5354 1
O5 0.1784 0.3568 0.0463 1
O6 0.3159 0.1580 0.7059 1
O7 0.3333 0.6667 0.1944 1
O8 0.3333 0.6667 0.7136 1
O9 0.3596 0.1798 0.2045 1
O10 0.5087 0.0173 0.3745 1
O11 0.6667 0.3333 0.0356 1
O12 0.6667 0.3333 0.5286 1
```

Peak list (10 most intense, 2θ from 15° to 90°, sorted by position)
- 2θ = 17.82°, intensity 30
- 2θ = 18.05°, intensity 55
- 2θ = 34.63°, intensity 47
- 2θ = 34.87°, intensity 92
- 2θ = 34.99°, intensity 57
- 2θ = 42.33°, intensity 100
- 2θ = 55.97°, intensity 29
- 2θ = 56.13°, intensity 22
- 2θ = 61.10°, intensity 59
- 2θ = 61.73°, intensity 58


For Zr2MnFe3, a GGA-PBE-relaxed structure gives the simulated powder X-ray diffraction pattern in this record (Cu Kα X-rays).
Peak positions follow from Bragg's law for the DFT cell and can differ from measured ones.

Structure:
```
data_Zr2MnFe3
_chemical_formula_sum 'Zr6 Mn3 Fe9'
_cell_length_a 4.9752
_cell_length_b 4.9752
_cell_length_c 12.3735
_cell_angle_alpha 90.00
_cell_angle_beta 90.00
_cell_angle_gamma 120.00
_space_group_name_H-M_alt 'R -3 m'
_space_group_IT_number 166
_space_group_name_Hall '-R 3 2"'
loop_
_atom_site_label
_atom_site_fract_x
_atom_site_fract_y
_atom_site_fract_z
_atom_site_occupancy
Zr1 0.0000 0.0000 0.1246 1
Mn1 0.0000 0.0000 0.5000 1
Fe1 0.0000 0.5000 0.0000 1
```

Peak list (10 most intense, 2θ from 15° to 90°, sorted by position)
- 2θ = 35.73°, intensity 49
- 2θ = 36.11°, intensity 44
- 2θ = 42.11°, intensity 52
- 2θ = 42.43°, intensity 100
- 2θ = 42.60°, intensity 53
- 2θ = 44.53°, intensity 39
- 2θ = 69.04°, intensity 22
- 2θ = 69.28°, intensity 21
- 2θ = 75.70°, intensity 24
- 2θ = 76.60°, intensity 23